[1]
This entry pairs a crystal structure of InPb5 with its simulated PXRD pattern. Radiation: CuKα. Structure: the GGA-PBE geometry in Alexandria.
Lines closer than 0.1° are merged.

Structure:
```
InPb5
1.0
11.707 0.000 0.000
0.000 3.620 0.000
-3.944 0.000 8.756
In Pb
2 10
Cartesian
0.000 0.000 0.000 In
5.854 1.810 0.000 In
-1.972 0.000 4.378 Pb
-1.383 1.810 7.323 Pb
0.655 1.810 2.879 Pb
1.255 0.000 5.877 Pb
3.292 0.000 1.433 Pb
3.882 1.810 4.378 Pb
4.471 0.000 7.323 Pb
6.508 0.000 2.879 Pb
7.108 1.810 5.877 Pb
9.146 1.810 1.433 Pb
```

Largest 10 diffraction maxima, by angle, 10 to 90 degrees two-theta:
2.891 Å, rel. 100
2.859 Å, rel. 97
2.538 Å, rel. 71
2.401 Å, rel. 30
1.810 Å, rel. 13
1.744 Å, rel. 46
1.529 Å, rel. 31
1.515 Å, rel. 30
1.464 Å, rel. 13
1.445 Å, rel. 13

=====

[2]
This entry pairs a crystal structure of KTa2SbO8 with its simulated PXRD pattern. Radiation: CuKα. Structure: the GGA-PBE geometry in Alexandria.
Lines closer than 0.1° are merged.

Structure:
```
KTa2SbO8
1.0
4.326 -3.121 0.000
4.326 3.121 0.000
-2.031 0.000 6.970
K Ta Sb O
1 2 1 8
Cartesian
0.000 0.000 0.000 K
2.218 0.000 5.387 Ta
4.404 0.000 1.583 Ta
-1.015 0.000 3.485 Sb
3.687 1.689 2.116 O
2.935 1.689 4.854 O
0.856 0.000 4.056 O
1.050 0.000 6.887 O
5.571 0.000 0.083 O
5.766 0.000 2.913 O
3.687 -1.689 2.116 O
2.935 -1.689 4.854 O
```

Largest 10 diffraction maxima, by angle, 10 to 90 degrees two-theta:
4.990 Å, rel. 28
4.424 Å, rel. 69
4.153 Å, rel. 62
3.196 Å, rel. 14
3.116 Å, rel. 100
2.655 Å, rel. 43
2.602 Å, rel. 26
2.495 Å, rel. 16
1.864 Å, rel. 20
1.800 Å, rel. 13

=====

[3]
This entry pairs a crystal structure of Sm2Al4IrAu3 with its simulated PXRD pattern. Radiation: CuKα. Structure: the GGA-PBE geometry in Alexandria.
Lines closer than 0.1° are merged.

Structure:
```
Sm2Al4IrAu3
1.0
4.304 0.000 0.000
0.000 4.304 0.000
0.000 0.000 10.640
Sm Al Ir Au
2 4 1 3
Cartesian
0.000 2.152 2.594 Sm
2.152 0.000 8.046 Sm
0.000 0.000 5.320 Al
0.000 2.152 9.301 Al
2.152 0.000 1.340 Al
2.152 2.152 5.320 Al
2.152 2.152 0.000 Ir
0.000 0.000 0.000 Au
0.000 2.152 6.780 Au
2.152 0.000 3.860 Au
```

Largest 10 diffraction maxima, by angle, 10 to 90 degrees two-theta:
3.547 Å, rel. 29
3.346 Å, rel. 37
2.926 Å, rel. 60
2.737 Å, rel. 51
2.642 Å, rel. 100
2.152 Å, rel. 62
2.003 Å, rel. 24
1.908 Å, rel. 29
1.692 Å, rel. 24
1.319 Å, rel. 23

=====

[4]
This entry pairs a crystal structure of DyBiSe with its simulated PXRD pattern. Radiation: CuKα. Structure: the GGA-PBE geometry in Alexandria.
Lines closer than 0.1° are merged.

Structure:
```
DyBiSe
1.0
4.443 0.000 0.000
0.000 5.185 0.000
0.000 0.000 8.123
Dy Bi Se
2 2 2
Cartesian
1.111 1.296 1.418 Dy
3.332 3.889 6.705 Dy
1.111 3.889 4.074 Bi
3.332 1.296 4.050 Bi
1.111 3.889 0.340 Se
3.332 1.296 7.784 Se
```

Largest 10 diffraction maxima, by angle, 10 to 90 degrees two-theta:
4.370 Å, rel. 15
4.062 Å, rel. 14
3.898 Å, rel. 20
3.116 Å, rel. 36
2.708 Å, rel. 14
2.594 Å, rel. 100
2.222 Å, rel. 17
1.740 Å, rel. 15
1.687 Å, rel. 15
1.497 Å, rel. 16

=====

[5]
This entry pairs a crystal structure of Zn15Rh with its simulated PXRD pattern. Radiation: CuKα. Structure: the GGA-PBE geometry in Alexandria.
Lines closer than 0.1° are merged.

Structure:
```
Zn15Rh
1.0
5.427 0.000 0.000
-2.714 4.700 0.000
0.000 0.000 9.212
Zn Rh
15 1
Cartesian
0.000 0.000 0.000 Zn
-1.339 2.360 4.606 Zn
1.350 0.780 2.370 Zn
1.350 0.780 6.842 Zn
0.000 3.134 2.211 Zn
0.000 3.134 7.001 Zn
1.339 2.360 4.606 Zn
0.000 4.680 4.606 Zn
2.714 0.019 0.000 Zn
1.374 2.340 0.000 Zn
4.077 0.780 2.370 Zn
4.077 0.780 6.842 Zn
2.714 3.141 2.370 Zn
2.714 3.141 6.842 Zn
4.054 2.340 0.000 Zn
0.000 0.000 4.606 Rh
```

Largest 10 diffraction maxima, by angle, 10 to 90 degrees two-theta:
2.350 Å, rel. 24
2.303 Å, rel. 29
2.093 Å, rel. 100
1.645 Å, rel. 15
1.357 Å, rel. 15
1.285 Å, rel. 18
1.175 Å, rel. 2
1.169 Å, rel. 18
1.152 Å, rel. 3
1.139 Å, rel. 13

=====

[6]
This entry pairs a crystal structure of Pa2Bi2HO with its simulated PXRD pattern. Radiation: CuKα. Structure: the GGA-PBE geometry in Alexandria.
Lines closer than 0.1° are merged.

Structure:
```
Pa2Bi2HO
1.0
-2.954 7.202 2.954
2.954 -7.202 2.954
2.954 7.202 -2.954
Pa Bi H O
4 4 2 2
Cartesian
1.421 1.119 0.000 Pa
1.421 -1.119 2.954 Pa
1.533 8.321 0.000 Pa
1.533 6.084 2.954 Pa
4.334 2.542 0.000 Bi
1.381 4.660 0.000 Bi
1.573 2.542 2.954 Bi
-1.381 4.660 2.954 Bi
2.954 0.000 1.477 H
0.000 7.202 1.477 H
0.000 0.000 1.477 O
0.000 0.000 4.430 O
```

Largest 10 diffraction maxima, by angle, 10 to 90 degrees two-theta:
2.954 Å, rel. 66
2.727 Å, rel. 100
2.089 Å, rel. 27
1.658 Å, rel. 46
1.654 Å, rel. 10
1.537 Å, rel. 13
1.477 Å, rel. 9
1.321 Å, rel. 12
1.299 Å, rel. 10
1.103 Å, rel. 13

=====

[7]
This entry pairs a crystal structure of K3Mg2Tl4 with its simulated PXRD pattern. Radiation: CuKα. Structure: the GGA-PBE geometry in Alexandria.
Lines closer than 0.1° are merged.

Structure:
```
K3Mg2Tl4
1.0
6.596 -2.526 0.000
6.596 2.526 0.000
-2.540 0.000 10.180
K Mg Tl
3 2 4
Cartesian
0.000 0.000 0.000 K
3.395 0.000 6.291 K
7.257 0.000 3.890 K
3.752 0.000 2.261 Mg
6.900 0.000 7.920 Mg
-0.371 0.000 6.422 Tl
1.335 0.000 9.320 Tl
9.317 0.000 0.861 Tl
11.023 0.000 3.758 Tl
```

Largest 10 diffraction maxima, by angle, 10 to 90 degrees two-theta:
6.127 Å, rel. 100
4.419 Å, rel. 88
3.584 Å, rel. 22
3.009 Å, rel. 80
2.861 Å, rel. 34
2.642 Å, rel. 63
2.542 Å, rel. 43
2.526 Å, rel. 33
1.893 Å, rel. 26
1.762 Å, rel. 22

=====

[8]
This entry pairs a crystal structure of Rb3Zr2O4F3 with its simulated PXRD pattern. Radiation: CuKα. Structure: the GGA-PBE geometry in Alexandria.
Lines closer than 0.1° are merged.

Structure:
```
Rb3Zr2O4F3
1.0
-2.057 2.190 11.909
2.057 -2.190 11.909
2.057 2.190 -11.909
Rb Zr O F
3 2 4 3
Cartesian
0.000 0.000 0.000 Rb
0.000 0.000 4.663 Rb
0.000 0.000 19.154 Rb
0.000 0.000 9.486 Zr
0.000 0.000 14.332 Zr
0.000 0.000 7.574 O
2.057 0.000 9.784 O
0.000 2.190 2.125 O
0.000 0.000 16.244 O
2.057 0.000 2.210 F
0.000 0.000 11.909 F
0.000 2.190 9.699 F
```

Largest 10 diffraction maxima, by angle, 10 to 90 degrees two-theta:
3.224 Å, rel. 100
3.114 Å, rel. 98
2.998 Å, rel. 99
2.382 Å, rel. 41
2.190 Å, rel. 36
2.057 Å, rel. 30
1.865 Å, rel. 46
1.791 Å, rel. 39
1.734 Å, rel. 33
1.612 Å, rel. 22

=====

[9]
This entry pairs a crystal structure of Ti2Al2Cu7Pt with its simulated PXRD pattern. Radiation: CuKα. Structure: the GGA-PBE geometry in Alexandria.
Lines closer than 0.1° are merged.

Structure:
```
Ti2Al2Cu7Pt
1.0
2.645 -2.763 0.000
2.645 2.763 0.000
0.000 0.000 11.582
Ti Al Cu Pt
2 2 7 1
Cartesian
0.000 0.000 1.962 Ti
0.000 0.000 9.620 Ti
2.645 0.000 2.343 Al
2.645 0.000 9.239 Al
0.000 0.000 5.791 Cu
1.323 1.381 3.978 Cu
1.323 1.381 7.605 Cu
2.645 1.172 0.000 Cu
1.323 -1.381 3.978 Cu
1.323 -1.381 7.605 Cu
2.645 -1.172 0.000 Cu
2.645 0.000 5.791 Pt
```

Largest 10 diffraction maxima, by angle, 10 to 90 degrees two-theta:
5.791 Å, rel. 31
3.189 Å, rel. 21
2.406 Å, rel. 33
2.247 Å, rel. 100
2.182 Å, rel. 41
1.953 Å, rel. 34
1.930 Å, rel. 29
1.911 Å, rel. 30
1.885 Å, rel. 42
1.167 Å, rel. 21

=====

[10]
This entry pairs a crystal structure of Y3Tl2Pd with its simulated PXRD pattern. Radiation: CuKα. Structure: the GGA-PBE geometry in Alexandria.
Lines closer than 0.1° are merged.

Structure:
```
Y3Tl2Pd
1.0
13.260 0.000 0.000
0.000 5.013 0.000
0.000 0.000 9.353
Y Tl Pd
12 8 4
Cartesian
1.020 1.253 0.836 Y
1.436 3.760 5.352 Y
3.187 3.760 2.360 Y
3.443 1.253 7.036 Y
5.195 1.253 0.675 Y
5.610 3.760 5.512 Y
7.651 1.253 3.841 Y
8.066 3.760 8.678 Y
9.818 3.760 2.317 Y
10.073 1.253 6.994 Y
11.825 1.253 4.002 Y
12.240 3.760 8.518 Y
0.093 1.253 6.772 Tl
2.348 3.760 8.643 Tl
4.282 1.253 3.966 Tl
6.537 3.760 2.096 Tl
6.723 1.253 7.258 Tl
8.978 3.760 5.387 Tl
10.912 1.253 0.710 Tl
13.167 3.760 2.581 Tl
1.449 1.253 3.617 Pd
5.181 3.760 8.293 Pd
8.079 1.253 1.060 Pd
11.811 3.760 5.737 Pd
```

Largest 10 diffraction maxima, by angle, 10 to 90 degrees two-theta:
4.192 Å, rel. 11
2.765 Å, rel. 14
2.705 Å, rel. 17
2.649 Å, rel. 100
2.507 Å, rel. 29
2.272 Å, rel. 12
2.096 Å, rel. 12
1.911 Å, rel. 12
1.838 Å, rel. 11
1.473 Å, rel. 18

=====

[11]
This entry pairs a crystal structure of CsPuTcO6 with its simulated PXRD pattern. Radiation: CuKα. Structure: the GGA-PBE geometry in Alexandria.
Lines closer than 0.1° are merged.

Structure:
```
CsPuTcO6
1.0
-3.685 3.898 5.339
3.685 -3.898 5.339
3.685 3.898 -5.339
Cs Pu Tc O
2 2 2 12
Cartesian
0.000 1.949 1.212 Cs
3.685 1.949 4.127 Cs
3.685 0.000 0.000 Pu
0.000 0.000 5.339 Pu
1.843 1.949 -2.669 Tc
1.843 -1.949 2.669 Tc
3.685 -1.949 3.119 O
2.186 -0.567 1.334 O
5.185 -0.567 1.334 O
2.186 3.331 -1.334 O
1.500 -0.567 4.005 O
3.685 1.949 0.803 O
0.000 1.949 4.536 O
2.186 4.465 1.334 O
1.500 0.567 6.672 O
-1.500 4.465 4.005 O
1.500 4.465 4.005 O
0.000 5.847 2.219 O
```

Largest 10 diffraction maxima, by angle, 10 to 90 degrees two-theta:
6.066 Å, rel. 50
3.781 Å, rel. 17
3.279 Å, rel. 100
3.238 Å, rel. 22
3.205 Å, rel. 40
3.181 Å, rel. 33
3.148 Å, rel. 43
3.033 Å, rel. 46
2.040 Å, rel. 23
1.891 Å, rel. 46

=====

[12]
This entry pairs a crystal structure of TaRePt2 with its simulated PXRD pattern. Radiation: CuKα. Structure: the GGA-PBE geometry in Alexandria.
Lines closer than 0.1° are merged.

Structure:
```
TaRePt2
1.0
3.898 0.000 0.000
0.000 3.898 0.000
0.000 0.000 8.276
Ta Re Pt
2 2 4
Cartesian
0.000 0.000 0.000 Ta
1.949 1.949 4.138 Ta
0.000 0.000 4.138 Re
1.949 1.949 0.000 Re
0.000 1.949 2.069 Pt
0.000 1.949 6.207 Pt
1.949 0.000 2.069 Pt
1.949 0.000 6.207 Pt
```

Largest 8 diffraction maxima, by angle, 10 to 90 degrees two-theta:
2.294 Å, rel. 100
2.069 Å, rel. 19
1.949 Å, rel. 31
1.419 Å, rel. 22
1.378 Å, rel. 10
1.234 Å, rel. 14
1.181 Å, rel. 25
1.147 Å, rel. 12